(1)
The following is a simulated powder X-ray diffraction pattern of Sc6Ir5Ru. It was derived from a cell relaxed with GGA-PBE, using Cu Kα, 1.54184 Å.
Intensities are scaled so that the largest is 100.

The 6 most intense peaks (2θ = 5–70°), by intensity:
2theta  d_spacing  I_rel
39.37  2.289  100.0
39.58  2.277  98.5
39.69  2.271  97.7
27.49  3.245  44.6
27.63  3.228  44.0
27.92  3.195  42.9

Structure:
a = 4.5763 Å, b = 6.3902 Å, c = 7.2274 Å
α = 90.00°, β = 108.16°, γ = 90.00°
Atoms (fractional coordinates):
Sc1 0.0000 0.2478 0.0000
Sc2 0.0000 0.7522 0.0000
Sc3 0.3346 0.2485 0.6689
Sc4 0.3346 0.7515 0.6689
Sc5 0.6654 0.2485 0.3311
Sc6 0.6654 0.7515 0.3311
Ir1 0.1667 0.0000 0.3335
Ir2 0.1670 0.5000 0.3342
Ir3 0.5000 0.5000 0.0000
Ir4 0.8333 0.0000 0.6665
Ir5 0.8330 0.5000 0.6658
Ru1 0.5000 0.0000 0.0000

***

(2)
The following is a simulated powder X-ray diffraction pattern of Cs2In2I7. It was derived from a cell relaxed with GGA-PBE, using Cu Kα, 1.54184 Å.
Intensities are scaled so that the largest is 100.

The 6 most intense peaks (2θ = 5–70°), by intensity:
2theta  d_spacing  I_rel
17.71  5.007  100.0
21.97  4.045  91.9
22.81  3.899  83.2
16.77  5.288  70.7
18.99  4.673  56.3
27.00  3.302  51.5

Structure:
a = 7.2216 Å, b = 18.7188 Å, c = 9.9693 Å
α = 90.00°, β = 102.56°, γ = 90.00°
Atoms (fractional coordinates):
Cs1 0.1433 0.1493 0.4488
Cs2 0.1433 0.3507 0.9488
Cs3 0.8567 0.6493 0.0512
Cs4 0.8567 0.8507 0.5512
In1 0.3073 0.6101 0.6293
In2 0.3073 0.8899 0.1293
In3 0.6927 0.1101 0.8707
In4 0.6927 0.3899 0.3707
I1 0.0354 0.1542 0.0451
I2 0.0354 0.3458 0.5451
I3 0.2328 0.5542 0.8789
I4 0.2328 0.9458 0.3789
I5 0.4784 0.2338 0.7725
I6 0.4784 0.2662 0.2725
I7 0.5000 0.0000 0.0000
I8 0.5000 0.5000 0.5000
I9 0.5216 0.7338 0.7275
I10 0.5216 0.7662 0.2275
I11 0.7672 0.0542 0.6211
I12 0.7672 0.4458 0.1211
I13 0.9646 0.6542 0.4549
I14 0.9646 0.8458 0.9549